Record 1
SrCePrCoO6: theoretical PXRD pattern (copper Kα), based on the PBE+U geometry in the Materials Project.
Neutral-atom scattering factors, no anomalous dispersion.

Cell and atoms:
```
SrCePrCoO6
1.0
0.0000 4.0661 4.0661
4.0661 0.0000 4.0661
4.0661 4.0661 0.0000
Sr Ce Pr Co O
1 1 1 1 6
direct
0.0000 0.0000 0.0000 Sr
0.2500 0.2500 0.2500 Ce
0.5000 0.5000 0.5000 Pr
0.7500 0.7500 0.7500 Co
0.5175 0.5175 0.9825 O
0.5175 0.9825 0.5175 O
0.5175 0.9825 0.9825 O
0.9825 0.5175 0.5175 O
0.9825 0.5175 0.9825 O
0.9825 0.9825 0.5175 O
```

Principal peaks in the range 2θ from 15° to 90°, by angle:
18.9 deg, rel. 10
31.1 deg, rel. 100
36.7 deg, rel. 8
38.3 deg, rel. 4
44.6 deg, rel. 31
48.8 deg, rel. 4
55.3 deg, rel. 39
59.0 deg, rel. 2
64.9 deg, rel. 19
68.2 deg, rel. 2
73.7 deg, rel. 17
82.1 deg, rel. 6

---

Record 2
Sr2CeCrO6: theoretical PXRD pattern (copper Kα), based on the PBE+U geometry in the Materials Project.
Neutral-atom scattering factors, no anomalous dispersion.

Cell and atoms:
```
Sr2CeCrO6
1.0
0.0000 4.1438 4.1438
4.1438 0.0000 4.1438
4.1438 4.1438 0.0000
Sr Ce Cr O
2 1 1 6
direct
0.2500 0.2500 0.2500 Sr
0.7500 0.7500 0.7500 Sr
0.0000 0.0000 0.0000 Ce
0.5000 0.5000 0.5000 Cr
0.2659 0.2659 0.7341 O
0.2659 0.7341 0.2659 O
0.2659 0.7341 0.7341 O
0.7341 0.2659 0.2659 O
0.7341 0.2659 0.7341 O
0.7341 0.7341 0.2659 O
```

Principal peaks in the range 2θ from 15° to 90°, by angle:
18.5 deg, rel. 10
21.4 deg, rel. 3
30.5 deg, rel. 100
35.9 deg, rel. 9
43.7 deg, rel. 34
47.8 deg, rel. 5
54.2 deg, rel. 39
57.8 deg, rel. 3
63.5 deg, rel. 20
72.1 deg, rel. 17
80.3 deg, rel. 7
88.2 deg, rel. 21

---

Record 3
Sr6Ce2Y4Fe3Cu3O24: theoretical PXRD pattern (copper Kα), based on the PBE+U geometry in the Materials Project.
Neutral-atom scattering factors, no anomalous dispersion.

Cell and atoms:
```
Sr6Ce2Y4Fe3Cu3O24
1.0
3.8641 0.0000 0.0000
0.0000 3.8641 0.0000
0.0000 0.0000 38.1971
Sr Ce Y Fe Cu O
6 2 4 3 3 24
direct
0.0000 0.0000 0.0000 Sr
0.0000 0.0000 0.3291 Sr
0.0000 0.0000 0.6637 Sr
0.5000 0.5000 0.2576 Sr
0.5000 0.5000 0.5922 Sr
0.5000 0.5000 0.9267 Sr
0.0000 0.0000 0.4267 Ce
0.0000 0.0000 0.7602 Ce
0.0000 0.0000 0.0958 Y
0.5000 0.5000 0.1570 Y
0.5000 0.5000 0.4930 Y
0.5000 0.5000 0.8267 Y
0.0000 0.0000 0.2126 Fe
0.0000 0.0000 0.5461 Fe
0.0000 0.0000 0.8797 Fe
0.5000 0.5000 0.0427 Cu
0.5000 0.5000 0.3760 Cu
0.5000 0.5000 0.7100 Cu
0.0000 0.0000 0.2628 O
0.0000 0.0000 0.5960 O
0.0000 0.0000 0.9293 O
0.0000 0.5000 0.0503 O
0.0000 0.5000 0.1269 O
0.0000 0.5000 0.2029 O
0.0000 0.5000 0.3865 O
0.0000 0.5000 0.4600 O
0.0000 0.5000 0.5341 O
0.0000 0.5000 0.7195 O
0.0000 0.5000 0.7932 O
0.0000 0.5000 0.8671 O
0.5000 0.0000 0.0503 O
0.5000 0.0000 0.1269 O
0.5000 0.0000 0.2029 O
0.5000 0.0000 0.3865 O
0.5000 0.0000 0.4600 O
0.5000 0.0000 0.5341 O
0.5000 0.0000 0.7195 O
0.5000 0.0000 0.7932 O
0.5000 0.0000 0.8671 O
0.5000 0.5000 0.3206 O
0.5000 0.5000 0.6535 O
0.5000 0.5000 0.9875 O
```

Principal peaks in the range 2θ from 15° to 90°, by angle:
24.1 deg, rel. 8
31.3 deg, rel. 100
32.8 deg, rel. 43
42.6 deg, rel. 16
43.7 deg, rel. 17
47.0 deg, rel. 31
54.8 deg, rel. 18
57.6 deg, rel. 35
65.3 deg, rel. 13
68.7 deg, rel. 9
77.4 deg, rel. 7
78.2 deg, rel. 7

---

Record 4
Sr6Ce2Y4Fe3Cu3O24: theoretical PXRD pattern (copper Kα), based on the PBE+U geometry in the Materials Project.
Neutral-atom scattering factors, no anomalous dispersion.

Cell and atoms:
```
Sr6Ce2Y4Fe3Cu3O24
1.0
8.1947 -2.7313 0.0000
8.1947 2.7313 0.0000
-5.4692 0.0000 12.6439
Sr Ce Y Fe Cu O
6 2 4 3 3 24
direct
0.0000 0.0000 0.0000 Sr
0.2387 0.2387 0.2175 Sr
0.3260 0.3260 0.0013 Sr
0.5570 0.5570 0.2176 Sr
0.6503 0.6503 0.0002 Sr
0.8988 0.8988 0.2206 Sr
0.5619 0.5619 0.7062 Ce
0.8926 0.8926 0.7063 Ce
0.2281 0.2281 0.7076 Y
0.3287 0.3287 0.5105 Y
0.6614 0.6614 0.5114 Y
0.9964 0.9964 0.5098 Y
0.1089 0.1089 0.3503 Fe
0.7754 0.7754 0.3507 Fe
0.7824 0.7824 0.8721 Fe
0.1122 0.1122 0.8584 Cu
0.4442 0.4442 0.8584 Cu
0.4454 0.4454 0.3606 Cu
0.0273 0.5318 0.6102 O
0.0574 0.0574 0.2003 O
0.0996 0.6044 0.8340 O
0.1162 0.6219 0.3849 O
0.1672 0.1672 0.0273 O
0.1952 0.6957 0.6105 O
0.2702 0.7707 0.8353 O
0.2847 0.7911 0.3846 O
0.3633 0.8592 0.6106 O
0.3902 0.3902 0.1951 O
0.4401 0.9359 0.8344 O
0.4539 0.9543 0.3863 O
0.5018 0.5018 0.0275 O
0.5318 0.0273 0.6102 O
0.6044 0.0996 0.8340 O
0.6219 0.1162 0.3849 O
0.6957 0.1952 0.6105 O
0.7268 0.7268 0.2007 O
0.7707 0.2702 0.8353 O
0.7911 0.2847 0.3846 O
0.8324 0.8324 0.0212 O
0.8592 0.3633 0.6106 O
0.9359 0.4401 0.8344 O
0.9543 0.4539 0.3863 O
```

Principal peaks in the range 2θ from 15° to 90°, by angle:
24.1 deg, rel. 8
31.4 deg, rel. 100
32.8 deg, rel. 43
42.9 deg, rel. 10
43.8 deg, rel. 13
47.1 deg, rel. 31
55.0 deg, rel. 18
57.7 deg, rel. 34
65.6 deg, rel. 10
68.7 deg, rel. 9
77.5 deg, rel. 7
78.3 deg, rel. 7

---

Record 5
Sr4CeY3Fe2Cu4O18: theoretical PXRD pattern (copper Kα), based on the PBE+U geometry in the Materials Project.
Neutral-atom scattering factors, no anomalous dispersion.

Cell and atoms:
```
Sr4CeY3Fe2Cu4O18
1.0
3.7946 0.0000 0.0000
0.0000 3.9313 0.0000
0.0000 0.0000 28.3631
Sr Ce Y Fe Cu O
4 1 3 2 4 18
direct
0.0000 0.0000 0.0000 Sr
0.0000 0.0000 0.1437 Sr
0.5000 0.5000 0.5049 Sr
0.5000 0.5000 0.6514 Sr
0.0000 0.0000 0.2766 Ce
0.0000 0.0000 0.8622 Y
0.5000 0.5000 0.3661 Y
0.5000 0.5000 0.7801 Y
0.0000 0.0000 0.4369 Fe
0.5000 0.5000 0.9363 Fe
0.0000 0.0000 0.5729 Cu
0.0000 0.0000 0.7126 Cu
0.5000 0.5000 0.0720 Cu
0.5000 0.5000 0.2130 Cu
0.0000 0.0000 0.5034 O
0.0000 0.0000 0.6376 O
0.0000 0.5000 0.2234 O
0.0000 0.5000 0.3209 O
0.0000 0.5000 0.4219 O
0.0000 0.5000 0.5683 O
0.0000 0.5000 0.7197 O
0.0000 0.5000 0.8236 O
0.0000 0.5000 0.9246 O
0.5000 0.0000 0.0709 O
0.5000 0.0000 0.2230 O
0.5000 0.0000 0.3224 O
0.5000 0.0000 0.4205 O
0.5000 0.0000 0.7200 O
0.5000 0.0000 0.8207 O
0.5000 0.0000 0.9249 O
0.5000 0.5000 0.0043 O
0.5000 0.5000 0.1377 O
```

Principal peaks in the range 2θ from 15° to 90°, by angle:
31.7 deg, rel. 91
32.3 deg, rel. 100
32.8 deg, rel. 79
41.8 deg, rel. 13
44.7 deg, rel. 22
46.2 deg, rel. 40
47.9 deg, rel. 28
56.6 deg, rel. 32
57.5 deg, rel. 37
58.6 deg, rel. 31
66.2 deg, rel. 12
68.8 deg, rel. 18

---

Record 6
CeMn4Cu3O12: theoretical PXRD pattern (copper Kα), based on the PBE+U geometry in the Materials Project.
Neutral-atom scattering factors, no anomalous dispersion.

Cell and atoms:
```
CeMn4Cu3O12
1.0
-3.7162 3.7162 3.7162
3.7162 -3.7162 3.7162
3.7162 3.7162 -3.7162
Ce Mn Cu O
1 4 3 12
direct
0.0000 0.0000 0.0000 Ce
0.0000 0.0000 0.5000 Mn
0.0000 0.5000 0.0000 Mn
0.5000 0.0000 0.0000 Mn
0.5000 0.5000 0.5000 Mn
0.0000 0.5000 0.5000 Cu
0.5000 0.0000 0.5000 Cu
0.5000 0.5000 0.0000 Cu
0.1229 0.2976 0.8254 O
0.1746 0.4722 0.2976 O
0.1746 0.8771 0.7024 O
0.2976 0.1746 0.4722 O
0.2976 0.8254 0.1229 O
0.4722 0.2976 0.1746 O
0.5278 0.7024 0.8254 O
0.7024 0.1746 0.8771 O
0.7024 0.8254 0.5278 O
0.8254 0.1229 0.2976 O
0.8254 0.5278 0.7024 O
0.8771 0.7024 0.1746 O
```

Principal peaks in the range 2θ from 15° to 90°, by angle:
16.9 deg, rel. 11
23.9 deg, rel. 4
29.4 deg, rel. 2
34.1 deg, rel. 100
38.3 deg, rel. 8
42.1 deg, rel. 7
45.7 deg, rel. 8
49.0 deg, rel. 27
61.1 deg, rel. 47
71.9 deg, rel. 13
79.5 deg, rel. 2
82.0 deg, rel. 16

---

Record 7
CeCuW2O8: theoretical PXRD pattern (copper Kα), based on the PBE+U geometry in the Materials Project.
Neutral-atom scattering factors, no anomalous dispersion.

Cell and atoms:
```
CeCuW2O8
1.0
7.2694 0.0000 0.0000
-0.1593 7.4672 0.0000
-3.3717 -3.1706 6.0626
Ce Cu W O
2 2 4 16
direct
0.1850 0.2881 0.4652 Ce
0.8150 0.7119 0.5348 Ce
0.2424 0.6764 0.9913 Cu
0.7576 0.3236 0.0087 Cu
0.2642 0.2937 0.0326 W
0.3503 0.8959 0.7115 W
0.6497 0.1041 0.2885 W
0.7358 0.7063 0.9674 W
0.0417 0.3076 0.0878 O
0.1379 0.9894 0.8010 O
0.1752 0.6368 0.5540 O
0.1902 0.3563 0.8023 O
0.2919 0.9936 0.5191 O
0.3857 0.1757 0.2582 O
0.4570 0.5375 0.2558 O
0.4792 0.8268 0.0065 O
0.5208 0.1732 0.9935 O
0.5430 0.4625 0.7442 O
0.6143 0.8243 0.7418 O
0.7081 0.0064 0.4809 O
0.8098 0.6437 0.1977 O
0.8248 0.3632 0.4460 O
0.8621 0.0106 0.1990 O
0.9583 0.6924 0.9122 O
```

Principal peaks in the range 2θ from 15° to 90°, by angle:
17.3 deg, rel. 48
21.7 deg, rel. 63
24.1 deg, rel. 53
27.2 deg, rel. 51
28.0 deg, rel. 45
28.2 deg, rel. 100
29.1 deg, rel. 83
29.3 deg, rel. 88
33.5 deg, rel. 42
34.1 deg, rel. 40
35.0 deg, rel. 45
46.8 deg, rel. 43

---

Record 8
SrCeEuNiO6: theoretical PXRD pattern (copper Kα), based on the PBE+U geometry in the Materials Project.
Neutral-atom scattering factors, no anomalous dispersion.

Cell and atoms:
```
SrCeEuNiO6
1.0
8.4930 0.0000 0.0000
0.0000 8.8540 0.0000
0.0000 0.0000 9.0183
Sr Ce Eu Ni O
4 4 4 4 24
direct
0.0000 0.0000 0.0000 Sr
0.0000 0.0000 0.5000 Sr
0.0000 0.5000 0.0000 Sr
0.5000 0.5000 0.0000 Sr
0.2526 0.2468 0.2441 Ce
0.2526 0.7532 0.7559 Ce
0.7474 0.2468 0.7559 Ce
0.7474 0.7532 0.2441 Ce
0.0000 0.5000 0.5000 Eu
0.5000 0.0000 0.0000 Eu
0.5000 0.0000 0.5000 Eu
0.5000 0.5000 0.5000 Eu
0.2507 0.2496 0.7509 Ni
0.2507 0.7504 0.2491 Ni
0.7493 0.2496 0.2491 Ni
0.7493 0.7504 0.7509 Ni
0.0184 0.2267 0.7178 O
0.0184 0.7733 0.2822 O
0.2189 0.4883 0.7717 O
0.2189 0.5117 0.2283 O
0.2260 0.2185 0.9886 O
0.2260 0.7815 0.0114 O
0.2812 0.2845 0.5118 O
0.2812 0.7155 0.4882 O
0.2872 0.0110 0.7188 O
0.2872 0.9890 0.2812 O
0.4824 0.2756 0.7771 O
0.4824 0.7244 0.2229 O
0.5176 0.2756 0.2229 O
0.5176 0.7244 0.7771 O
0.7128 0.0110 0.2812 O
0.7128 0.9890 0.7188 O
0.7188 0.2845 0.4882 O
0.7188 0.7155 0.5118 O
0.7740 0.2185 0.0114 O
0.7740 0.7815 0.9886 O
0.7811 0.4883 0.2283 O
0.7811 0.5117 0.7717 O
0.9816 0.2267 0.2822 O
0.9816 0.7733 0.7178 O
```

Principal peaks in the range 2θ from 15° to 90°, by angle:
28.2 deg, rel. 100
28.9 deg, rel. 94
29.1 deg, rel. 92
40.0 deg, rel. 32
40.8 deg, rel. 30
42.6 deg, rel. 26
50.2 deg, rel. 43
50.7 deg, rel. 42
51.9 deg, rel. 40
58.4 deg, rel. 19
59.8 deg, rel. 17
60.4 deg, rel. 17

---

Record 9
SrCeEuNiO6: theoretical PXRD pattern (copper Kα), based on the PBE+U geometry in the Materials Project.
Neutral-atom scattering factors, no anomalous dispersion.

Cell and atoms:
```
SrCeEuNiO6
1.0
0.0000 4.0720 4.0720
4.0720 0.0000 4.0720
4.0720 4.0720 0.0000
Sr Ce Eu Ni O
1 1 1 1 6
direct
0.0000 0.0000 0.0000 Sr
0.2500 0.2500 0.2500 Ce
0.5000 0.5000 0.5000 Eu
0.7500 0.7500 0.7500 Ni
0.5159 0.5159 0.9841 O
0.5159 0.9841 0.5159 O
0.5159 0.9841 0.9841 O
0.9841 0.5159 0.5159 O
0.9841 0.5159 0.9841 O
0.9841 0.9841 0.5159 O
```

Principal peaks in the range 2θ from 15° to 90°, by angle:
18.9 deg, rel. 10
31.1 deg, rel. 100
36.6 deg, rel. 8
38.3 deg, rel. 4
44.5 deg, rel. 31
48.7 deg, rel. 4
55.3 deg, rel. 39
58.9 deg, rel. 2
64.8 deg, rel. 19
68.1 deg, rel. 2
73.6 deg, rel. 17
82.0 deg, rel. 6

---

Record 10
CeEu2VO6: theoretical PXRD pattern (copper Kα), based on the PBE+U geometry in the Materials Project.
Neutral-atom scattering factors, no anomalous dispersion.

Cell and atoms:
```
CeEu2VO6
1.0
0.0000 4.1587 4.1587
4.1587 0.0000 4.1587
4.1587 4.1587 0.0000
Ce Eu V O
1 2 1 6
direct
0.0000 0.0000 0.0000 Ce
0.2500 0.2500 0.2500 Eu
0.7500 0.7500 0.7500 Eu
0.5000 0.5000 0.5000 V
0.2656 0.2656 0.7344 O
0.2656 0.7344 0.2656 O
0.2656 0.7344 0.7344 O
0.7344 0.2656 0.2656 O
0.7344 0.2656 0.7344 O
0.7344 0.7344 0.2656 O
```

Principal peaks in the range 2θ from 15° to 90°, by angle:
18.5 deg, rel. 6
21.4 deg, rel. 3
30.4 deg, rel. 100
35.8 deg, rel. 5
37.5 deg, rel. 8
43.5 deg, rel. 30
47.7 deg, rel. 3
54.0 deg, rel. 40
63.2 deg, rel. 18
71.8 deg, rel. 18
79.9 deg, rel. 6
87.8 deg, rel. 21